1.
Calculated X-ray diffraction stick pattern
Compound: Al4PdPt3
Radiation: copper Kα
Structure: a GGA-PBE-relaxed structure
No peak broadening, texture or thermal motion is included.

Unit cell a=6.9292 b=6.9292 c=8.5511 alpha=90.00 beta=90.00 gamma=120.00
Space group R3 (No. 146, hexagonal axes)
Asymmetric unit:
Al1 0.0000 0.0000 0.0000 x3
Al2 0.1027 0.3954 0.2083 x9
Pd1 0.0000 0.0000 0.3080 x3
Pt1 0.0354 0.7655 0.7712 x9

Main lines, sorted by position (2θ = 5–70°):
| 2theta | I (rel.) | index |
| --- | --- | --- |
| 25.6 | 37 | 0 1 2 |
| 25.7 | 74 | 1 1 0 |
| 31.4 | 28 | 0 0 3 |
| 31.6 | 40 | 0 2 1 |
| 36.6 | 22 | 2 0 2 |
| 41.0 | 100 | 1 1 3 |
| 41.2 | 95 | 3 -1 1 |
| 45.0 | 16 | 1 0 4 |
| 45.3 | 68 | 1 2 2 |
| 59.4 | 17 | 3 -1 4 |

2.
Calculated X-ray diffraction stick pattern
Compound: CsMgCo3As2P
Radiation: copper Kα
Structure: a GGA-PBE-relaxed structure
No peak broadening, texture or thermal motion is included.

Unit cell a=3.7569 b=3.8751 c=10.6157 alpha=90.00 beta=90.00 gamma=90.00
Space group Pmm2 (No. 25)
Asymmetric unit:
Cs1 0.0000 0.0000 0.0000 x1
Mg1 0.5000 0.0000 0.6244 x1
Co1 0.0000 0.5000 0.3637 x1
Co2 0.0000 0.5000 0.6152 x1
Co3 0.5000 0.0000 0.3608 x1
As1 0.5000 0.5000 0.2340 x1
As2 0.5000 0.5000 0.7699 x1
P1 0.0000 0.0000 0.4693 x1

Main lines, sorted by position (2θ = 5–70°):
| 2theta | I (rel.) | index |
| --- | --- | --- |
| 8.3 | 23 | 0 0 1 |
| 25.2 | 31 | 0 0 3 |
| 28.5 | 81 | 0 1 2 |
| 29.1 | 86 | 1 0 2 |
| 34.3 | 87 | 1 1 1 |
| 46.9 | 30 | 0 2 0 |
| 48.1 | 100 | 1 1 4 |
| 48.5 | 27 | 2 0 0 |
| 56.2 | 26 | 1 2 2 |
| 57.2 | 32 | 2 1 2 |

3.
Calculated X-ray diffraction stick pattern
Compound: TbDyHf2Sb2
Radiation: copper Kα
Structure: a GGA-PBE-relaxed structure
No peak broadening, texture or thermal motion is included.

Unit cell a=4.2643 b=4.2643 c=16.5468 alpha=90.00 beta=90.00 gamma=90.00
Space group I4mm (No. 107)
Asymmetric unit:
Tb1 0.0000 0.0000 0.0000 x2
Dy1 0.0000 0.0000 0.3526 x2
Hf1 0.0000 0.5000 0.1766 x4
Sb1 0.0000 0.0000 0.5451 x2
Sb2 0.0000 0.0000 0.8080 x2

Main lines, sorted by position (2θ = 5–70°):
| 2theta | I (rel.) | index |
| --- | --- | --- |
| 10.7 | 19 | 0 0 2 |
| 31.6 | 100 | 1 1 2 |
| 32.5 | 37 | 0 0 6 |
| 34.3 | 34 | 1 0 5 |
| 36.9 | 96 | 1 1 4 |
| 42.4 | 59 | 2 0 0 |
| 53.7 | 11 | 1 1 8 |
| 54.4 | 44 | 2 0 6 |
| 55.6 | 18 | 2 1 5 |
| 61.5 | 20 | 2 2 0 |